[1]
# B5C7
Simulated powder X-ray diffraction pattern, Cu Kα (λ = 1.5418 Å). Input: a crystal structure in Alexandria, relaxed with PBE.

Principal peaks in the range 2θ = 10–90°, in order of rising 2θ:
(hkl), d/Å, I (rel.)
0 0 2, 7.324, 58
0 0 3, 4.883, 48
0 0 4, 3.662, 21
0 0 6, 2.441, 8
0 1 2, 2.176, 100
0 0 7, 2.093, 22
0 1 3, 2.065, 19
0 1 9, 1.324, 20
1 1 0, 1.315, 30
0 1 10, 1.232, 5
2 0 2, 1.126, 8
1 1 7, 1.114, 12

Crystal structure
```
data_B5C7
_cell_length_a 2.6309
_cell_length_b 2.6309
_cell_length_c 14.6487
_cell_angle_alpha 90.00
_cell_angle_beta 90.00
_cell_angle_gamma 120.00
_symmetry_space_group_name_H-M 'P 3 m 1'
_symmetry_Int_Tables_number 156
_symmetry_space_group_name_Hall 'P 3 -2"'
loop_
_atom_site_label
_atom_site_type_symbol
_atom_site_fract_x
_atom_site_fract_y
_atom_site_fract_z
_atom_site_occupancy
B1 B 0.0000 0.0000 0.0000 1
B2 B 0.0000 0.0000 0.2509 1
B3 B 0.0000 0.0000 0.6898 1
B4 B 0.3333 0.6667 0.3660 1
B5 B 0.6667 0.3333 0.4376 1
C1 C 0.0000 0.0000 0.5799 1
C2 C 0.3333 0.6667 0.2591 1
C3 C 0.3333 0.6667 0.7356 1
C4 C 0.3333 0.6667 0.8380 1
C5 C 0.6667 0.3333 0.5441 1
C6 C 0.6667 0.3333 0.8745 1
C7 C 0.6667 0.3333 0.9857 1
```

[2]
# B5C7
Simulated powder X-ray diffraction pattern, Cu Kα (λ = 1.5418 Å). Input: a crystal structure in Alexandria, relaxed with PBE.

Principal peaks in the range 2θ = 10–90°, in order of rising 2θ:
(hkl), d/Å, I (rel.)
1 0 0, 3.958, 25
1 0 -2, 2.834, 9
1 0 -3, 2.215, 60
1 1 0, 2.190, 100
1 0 3, 2.147, 51
2 1 -3, 1.369, 25
2 1 3, 1.337, 24
0 2 0, 1.314, 15
0 0 6, 1.306, 9
3 1 0, 1.179, 9
1 2 -3, 1.131, 15
1 2 3, 1.121, 9

Crystal structure
```
data_B5C7
_cell_length_a 3.9608
_cell_length_b 2.6282
_cell_length_c 7.8419
_cell_angle_alpha 90.00
_cell_angle_beta 91.95
_cell_angle_gamma 90.00
_symmetry_space_group_name_H-M 'P 1 m 1'
_symmetry_Int_Tables_number 6
_symmetry_space_group_name_Hall 'P -2y'
loop_
_atom_site_label
_atom_site_type_symbol
_atom_site_fract_x
_atom_site_fract_y
_atom_site_fract_z
_atom_site_occupancy
B1 B 0.0000 0.0000 0.0000 1
B2 B 0.0131 0.0000 0.2829 1
B3 B 0.0544 0.0000 0.6591 1
B4 B 0.3867 0.0000 0.5031 1
B5 B 0.5593 0.5000 0.1390 1
C1 C 0.2897 0.0000 0.1447 1
C2 C 0.3704 0.0000 0.7734 1
C3 C 0.5750 0.5000 0.8024 1
C4 C 0.6014 0.5000 0.4757 1
C5 C 0.7860 0.5000 0.9672 1
C6 C 0.8066 0.5000 0.3197 1
C7 C 0.8188 0.5000 0.6423 1
```

[3]
# B3C7
Simulated powder X-ray diffraction pattern, Cu Kα (λ = 1.5418 Å). Input: a crystal structure in Alexandria, relaxed with PBE.

Principal peaks in the range 2θ = 10–90°, in order of rising 2θ:
(hkl), d/Å, I (rel.)
0 0 1, 5.733, 8
2 0 -1, 4.086, 28
2 0 1, 2.807, 8
1 1 1, 2.174, 100
4 0 -1, 2.155, 48
2 0 -3, 2.057, 38
5 1 0, 1.358, 17
1 1 -4, 1.308, 26
0 2 0, 1.297, 14
3 1 3, 1.183, 9
4 2 -1, 1.111, 8
2 2 -3, 1.097, 8

Crystal structure
```
data_B3C7
_cell_length_a 8.6264
_cell_length_b 2.5934
_cell_length_c 6.2057
_cell_angle_alpha 90.00
_cell_angle_beta 112.51
_cell_angle_gamma 90.00
_symmetry_space_group_name_H-M 'C 1 m 1'
_symmetry_Int_Tables_number 8
_symmetry_space_group_name_Hall 'C -2y'
loop_
_atom_site_label
_atom_site_type_symbol
_atom_site_fract_x
_atom_site_fract_y
_atom_site_fract_z
_atom_site_occupancy
B1 B 0.0000 0.0000 0.0000 1
B2 B 0.0620 0.5000 0.3849 1
B3 B 0.2048 0.5000 0.9435 1
C1 C 0.0813 0.5000 0.1345 1
C2 C 0.1334 0.0000 0.7764 1
C3 C 0.1670 0.0000 0.5593 1
C4 C 0.2881 0.5000 0.2162 1
C5 C 0.3522 0.0000 0.5923 1
C6 C 0.3653 0.0000 0.3474 1
C7 C 0.4381 0.5000 0.7237 1
```

[4]
# BC
Simulated powder X-ray diffraction pattern, Cu Kα (λ = 1.5418 Å). Input: a crystal structure in Alexandria, relaxed with PBE.

Principal peaks in the range 2θ = 10–90°, in order of rising 2θ:
(hkl), d/Å, I (rel.)
1 0 0, 4.233, 20
0 0 1, 4.130, 23
0 1 1, 3.900, 75
1 1 1, 3.296, 84
0 1 -1, 2.340, 26
1 1 -1, 2.299, 77
0 2 1, 2.215, 100
1 1 2, 2.135, 90
2 0 0, 2.116, 70
0 0 3, 1.377, 44
3 1 -1, 1.364, 21
-2 2 1, 1.331, 18

Crystal structure
```
data_BC
_cell_length_a 4.4906
_cell_length_b 4.6830
_cell_length_c 4.6968
_cell_angle_alpha 61.95
_cell_angle_beta 85.36
_cell_angle_gamma 71.09
_symmetry_space_group_name_H-M 'P -1'
_symmetry_Int_Tables_number 2
_symmetry_space_group_name_Hall '-P 1'
loop_
_atom_site_label
_atom_site_type_symbol
_atom_site_fract_x
_atom_site_fract_y
_atom_site_fract_z
_atom_site_occupancy
B1 B 0.0201 0.1815 0.4954 1
B2 B 0.3762 0.8218 0.5219 1
B3 B 0.4053 0.0233 0.7900 1
C1 C 0.0525 0.1459 0.8667 1
C2 C 0.0759 0.4974 0.1491 1
C3 C 0.4340 0.4022 0.1382 1
```

[5]
# BC4
Simulated powder X-ray diffraction pattern, Cu Kα (λ = 1.5418 Å). Input: a crystal structure in Alexandria, relaxed with PBE.

Principal peaks in the range 2θ = 10–90°, in order of rising 2θ:
(hkl), d/Å, I (rel.)
0 0 4, 4.808, 9
0 0 8, 2.404, 1
1 0 3, 2.340, 1
1 0 5, 2.104, 100
1 0 9, 1.628, 1
1 1 10, 1.305, 27
2 0 0, 1.257, 12
1 0 15, 1.142, 8

Crystal structure
```
data_BC4
_cell_length_a 2.5136
_cell_length_b 2.5136
_cell_length_c 19.2322
_cell_angle_alpha 90.00
_cell_angle_beta 90.00
_cell_angle_gamma 90.00
_symmetry_space_group_name_H-M 'I 41/a m d'
_symmetry_Int_Tables_number 141
loop_
_symmetry_equiv_pos_as_xyz
'x,y,z'
'-x,-y,-z'
'-y+1/4,x+3/4,z+1/4'
'y+1/4,-x+3/4,-z+1/4'
'-x+1/2,-y,z+1/2'
'x+1/2,y,-z+1/2'
'y+1/4,-x+1/4,z+3/4'
'-y+1/4,x+1/4,-z+3/4'
'x,-y,-z'
'-x,y,z'
'-y+1/4,-x+1/4,-z+3/4'
'y+1/4,x+1/4,z+3/4'
'-x+1/2,y,-z+1/2'
'x+1/2,-y,z+1/2'
'y+1/4,x+3/4,-z+1/4'
'-y+1/4,-x+3/4,z+1/4'
'x+1/2,y+1/2,z+1/2'
'-x+1/2,-y+1/2,-z+1/2'
'-y+3/4,x+1/4,z+3/4'
'y+3/4,-x+1/4,-z+3/4'
'-x,-y+1/2,z'
'x,y+1/2,-z'
'y+3/4,-x+3/4,z+1/4'
'-y+3/4,x+3/4,-z+1/4'
'x+1/2,-y+1/2,-z+1/2'
'-x+1/2,y+1/2,z+1/2'
'-y+3/4,-x+3/4,-z+1/4'
'y+3/4,x+3/4,z+1/4'
'-x,y+1/2,-z'
'x,-y+1/2,z'
'y+3/4,x+1/4,-z+3/4'
'-y+3/4,-x+1/4,z+3/4'
loop_
_atom_site_label
_atom_site_type_symbol
_atom_site_fract_x
_atom_site_fract_y
_atom_site_fract_z
_atom_site_occupancy
B1 B 0.0000 0.2500 0.3750 1
C1 C 0.0000 0.2500 0.1807 1
C2 C 0.0000 0.2500 0.7747 1
```

[6]
# BC7
Simulated powder X-ray diffraction pattern, Cu Kα (λ = 1.5418 Å). Input: a crystal structure in Alexandria, relaxed with PBE.

Principal peaks in the range 2θ = 10–90°, in order of rising 2θ:
(hkl), d/Å, I (rel.)
0 1 1, 4.210, 4
0 0 2, 3.675, 2
0 1 3, 2.211, 1
0 2 2, 2.105, 95
1 0 2, 2.078, 100
0 4 0, 1.285, 63
2 0 0, 1.260, 12
0 2 6, 1.106, 9
1 0 6, 1.102, 7
1 4 2, 1.092, 17

Crystal structure
```
data_BC7
_cell_length_a 2.5199
_cell_length_b 5.1359
_cell_length_c 7.3508
_cell_angle_alpha 90.00
_cell_angle_beta 90.00
_cell_angle_gamma 90.00
_symmetry_space_group_name_H-M 'A m m 2'
_symmetry_Int_Tables_number 38
_symmetry_space_group_name_Hall 'A 2 -2'
loop_
_atom_site_label
_atom_site_type_symbol
_atom_site_fract_x
_atom_site_fract_y
_atom_site_fract_z
_atom_site_occupancy
B1 B 0.0000 0.0000 0.0000 1
C1 C 0.0000 0.0000 0.4928 1
C2 C 0.0000 0.2450 0.6184 1
C3 C 0.5000 0.0000 0.3680 1
C4 C 0.5000 0.0000 0.8537 1
C5 C 0.5000 0.2466 0.7419 1
```

[7]
# B5C7
Simulated powder X-ray diffraction pattern, Cu Kα (λ = 1.5418 Å). Input: a crystal structure in Alexandria, relaxed with PBE.

Principal peaks in the range 2θ = 10–90°, in order of rising 2θ:
(hkl), d/Å, I (rel.)
2 0 0, 6.241, 91
4 0 -2, 2.164, 44
2 0 2, 2.157, 46
3 1 0, 2.130, 100
5 1 0, 1.759, 7
7 1 -2, 1.350, 24
5 1 2, 1.346, 24
2 0 -4, 1.264, 12
0 2 0, 1.240, 12
9 1 0, 1.210, 5
9 1 -2, 1.172, 4
7 1 2, 1.169, 4

Crystal structure
```
data_B5C7
_cell_length_a 12.7445
_cell_length_b 2.4800
_cell_length_c 5.0554
_cell_angle_alpha 90.00
_cell_angle_beta 101.65
_cell_angle_gamma 90.00
_symmetry_space_group_name_H-M 'C 1 m 1'
_symmetry_Int_Tables_number 8
_symmetry_space_group_name_Hall 'C -2y'
loop_
_atom_site_label
_atom_site_type_symbol
_atom_site_fract_x
_atom_site_fract_y
_atom_site_fract_z
_atom_site_occupancy
B1 B 0.0000 0.0000 0.0000 1
B2 B 0.0044 0.0000 0.4847 1
B3 B 0.3031 0.0000 0.6442 1
B4 B 0.3940 0.5000 0.1969 1
B5 B 0.4044 0.5000 0.6839 1
C1 C 0.0870 0.5000 0.0364 1
C2 C 0.0891 0.5000 0.5340 1
C3 C 0.1558 0.5000 0.8230 1
C4 C 0.1573 0.5000 0.3179 1
C5 C 0.2322 0.0000 0.3512 1
C6 C 0.2323 0.0000 0.8644 1
C7 C 0.3007 0.0000 0.1432 1
```

[8]
# B5C7
Simulated powder X-ray diffraction pattern, Cu Kα (λ = 1.5418 Å). Input: a crystal structure in Alexandria, relaxed with PBE.

Principal peaks in the range 2θ = 10–90°, in order of rising 2θ:
(hkl), d/Å, I (rel.)
0 0 1, 4.403, 16
1 1 -1, 3.497, 11
0 0 2, 2.202, 44
1 3 -1, 2.151, 100
2 0 0, 2.146, 54
1 3 -3, 1.352, 25
3 3 -1, 1.326, 25
2 0 2, 1.306, 12
0 6 0, 1.287, 12
3 3 -3, 1.166, 7
1 3 3, 1.124, 9
2 6 0, 1.103, 8

Crystal structure
```
data_B5C7
_cell_length_a 4.6530
_cell_length_b 7.7194
_cell_length_c 4.7732
_cell_angle_alpha 90.00
_cell_angle_beta 112.70
_cell_angle_gamma 90.00
_symmetry_space_group_name_H-M 'C 1 m 1'
_symmetry_Int_Tables_number 8
_symmetry_space_group_name_Hall 'C -2y'
loop_
_atom_site_label
_atom_site_type_symbol
_atom_site_fract_x
_atom_site_fract_y
_atom_site_fract_z
_atom_site_occupancy
B1 B 0.0000 0.0000 0.0000 1
B2 B 0.0248 0.5000 0.5763 1
B3 B 0.0828 0.0000 0.4128 1
B4 B 0.1331 0.3234 0.3830 1
C1 C 0.0006 0.1732 0.5528 1
C2 C 0.1021 0.5000 0.9229 1
C3 C 0.1277 0.1736 0.8985 1
C4 C 0.4935 0.1701 0.0223 1
```

[9]
# B5C7
Simulated powder X-ray diffraction pattern, Cu Kα (λ = 1.5418 Å). Input: a crystal structure in Alexandria, relaxed with PBE.

Principal peaks in the range 2θ = 10–90°, in order of rising 2θ:
(hkl), d/Å, I (rel.)
1 0 0, 4.731, 16
1 0 -1, 3.893, 14
1 0 1, 3.786, 11
2 0 1, 2.205, 51
0 0 3, 2.188, 57
1 1 -1, 2.131, 100
3 1 0, 1.341, 27
1 1 -4, 1.333, 23
2 0 4, 1.330, 12
0 2 0, 1.273, 13
3 1 3, 1.131, 9
0 2 3, 1.100, 8

Crystal structure
```
data_B5C7
_cell_length_a 4.7329
_cell_length_b 2.5460
_cell_length_c 6.5678
_cell_angle_alpha 90.00
_cell_angle_beta 91.68
_cell_angle_gamma 90.00
_symmetry_space_group_name_H-M 'P 1 m 1'
_symmetry_Int_Tables_number 6
_symmetry_space_group_name_Hall 'P -2y'
loop_
_atom_site_label
_atom_site_type_symbol
_atom_site_fract_x
_atom_site_fract_y
_atom_site_fract_z
_atom_site_occupancy
B1 B 0.0000 0.0000 0.0000 1
B2 B 0.0400 0.0000 0.3267 1
B3 B 0.2318 0.5000 0.9369 1
B4 B 0.6990 0.0000 0.7266 1
B5 B 0.9096 0.5000 0.6003 1
C1 C 0.2414 0.5000 0.6911 1
C2 C 0.3756 0.0000 0.6077 1
C3 C 0.3866 0.0000 0.3703 1
C4 C 0.5364 0.5000 0.0517 1
C5 C 0.5398 0.5000 0.2911 1
C6 C 0.6770 0.0000 0.9737 1
C7 C 0.8621 0.5000 0.3581 1
```

[10]
# BC7
Simulated powder X-ray diffraction pattern, Cu Kα (λ = 1.5418 Å). Input: a crystal structure in Alexandria, relaxed with PBE.

Principal peaks in the range 2θ = 10–90°, in order of rising 2θ:
(hkl), d/Å, I (rel.)
0 0 1, 7.452, 10
0 0 2, 3.726, 2
1 0 2, 2.090, 100
1 0 3, 1.771, 1
1 1 4, 1.289, 26
2 0 0, 1.262, 13
1 1 5, 1.144, 1
1 0 6, 1.114, 8

Crystal structure
```
data_BC7
_cell_length_a 2.5249
_cell_length_b 2.5249
_cell_length_c 7.4520
_cell_angle_alpha 90.00
_cell_angle_beta 90.00
_cell_angle_gamma 90.00
_symmetry_space_group_name_H-M 'P -4 m 2'
_symmetry_Int_Tables_number 115
_symmetry_space_group_name_Hall 'P -4 -2'
loop_
_atom_site_label
_atom_site_type_symbol
_atom_site_fract_x
_atom_site_fract_y
_atom_site_fract_z
_atom_site_occupancy
B1 B 0.0000 0.0000 0.0000 1
C1 C 0.0000 0.0000 0.5000 1
C2 C 0.0000 0.5000 0.1420 1
C3 C 0.0000 0.5000 0.6193 1
C4 C 0.5000 0.5000 0.2576 1
```

[11]
# B5C
Simulated powder X-ray diffraction pattern, Cu Kα (λ = 1.5418 Å). Input: a crystal structure in Alexandria, relaxed with PBE.

Principal peaks in the range 2θ = 10–90°, in order of rising 2θ:
(hkl), d/Å, I (rel.)
2 0 -1, 4.047, 9
4 0 1, 2.405, 54
3 1 0, 2.394, 100
2 0 -2, 2.203, 13
4 0 -2, 2.023, 22
5 1 -1, 1.887, 7
0 0 3, 1.442, 14
0 2 0, 1.420, 20
7 1 1, 1.408, 36
7 1 -2, 1.401, 24
3 1 -3, 1.304, 13
4 2 1, 1.223, 8

Crystal structure
```
data_B5C
_cell_length_a 13.6588
_cell_length_b 2.8399
_cell_length_c 4.4291
_cell_angle_alpha 90.00
_cell_angle_beta 102.36
_cell_angle_gamma 90.00
_symmetry_space_group_name_H-M 'C 1 2/m 1'
_symmetry_Int_Tables_number 12
_symmetry_space_group_name_Hall '-C 2y'
loop_
_atom_site_label
_atom_site_type_symbol
_atom_site_fract_x
_atom_site_fract_y
_atom_site_fract_z
_atom_site_occupancy
B1 B 0.0784 0.0000 0.4242 1
B2 B 0.0844 0.5000 0.8099 1
B3 B 0.1470 0.5000 0.5125 1
B4 B 0.1919 0.5000 0.1998 1
B5 B 0.2270 0.5000 0.8756 1
C1 C 0.0206 0.0000 0.8429 1
```

[12]
# B3C7
Simulated powder X-ray diffraction pattern, Cu Kα (λ = 1.5418 Å). Input: a crystal structure in Alexandria, relaxed with PBE.

Principal peaks in the range 2θ = 10–90°, in order of rising 2θ:
(hkl), d/Å, I (rel.)
0 0 4, 4.986, 1
0 0 6, 3.324, 6
0 0 8, 2.489, 2
1 0 3, 2.346, 1
1 0 5, 2.122, 100
1 0 11, 1.469, 1
1 1 10, 1.325, 28
2 0 0, 1.253, 12
1 0 15, 1.175, 9

Crystal structure
```
data_B3C7
_cell_length_a 2.5068
_cell_length_b 2.5068
_cell_length_c 19.9442
_cell_angle_alpha 90.00
_cell_angle_beta 90.00
_cell_angle_gamma 90.00
_symmetry_space_group_name_H-M 'I -4 m 2'
_symmetry_Int_Tables_number 119
_symmetry_space_group_name_Hall 'I -4 -2'
loop_
_atom_site_label
_atom_site_type_symbol
_atom_site_fract_x
_atom_site_fract_y
_atom_site_fract_z
_atom_site_occupancy
B1 B 0.0000 0.0000 0.0000 1
B2 B 0.0000 0.5000 0.6514 1
C1 C 0.0000 0.0000 0.2054 1
C2 C 0.0000 0.0000 0.4036 1
C3 C 0.0000 0.5000 0.0550 1
C4 C 0.0000 0.5000 0.2500 1
```

[13]
# BC7
Simulated powder X-ray diffraction pattern, Cu Kα (λ = 1.5418 Å). Input: a crystal structure in Alexandria, relaxed with PBE.

Principal peaks in the range 2θ = 10–90°, in order of rising 2θ:
(hkl), d/Å, I (rel.)
1 0 0, 3.623, 2
1 1 0, 2.561, 1
1 1 1, 2.091, 100
2 2 0, 1.281, 39
3 1 1, 1.092, 24

Crystal structure
```
data_BC7
_cell_length_a 3.6225
_cell_length_b 3.6225
_cell_length_c 3.6225
_cell_angle_alpha 90.00
_cell_angle_beta 90.00
_cell_angle_gamma 90.00
_symmetry_space_group_name_H-M 'P -4 3 m'
_symmetry_Int_Tables_number 215
_symmetry_space_group_name_Hall 'P -4 2 3'
loop_
_atom_site_label
_atom_site_type_symbol
_atom_site_fract_x
_atom_site_fract_y
_atom_site_fract_z
_atom_site_occupancy
B1 B 0.0000 0.0000 0.0000 1
C1 C 0.0000 0.5000 0.5000 1
C2 C 0.2549 0.2549 0.2549 1
```

[14]
# BC4
Simulated powder X-ray diffraction pattern, Cu Kα (λ = 1.5418 Å). Input: a crystal structure in Alexandria, relaxed with PBE.

Principal peaks in the range 2θ = 10–90°, in order of rising 2θ:
(hkl), d/Å, I (rel.)
2 0 0, 6.508, 19
0 0 1, 3.541, 4
4 0 1, 2.135, 49
1 1 -1, 2.120, 100
6 0 -1, 2.111, 66
3 1 2, 1.304, 29
10 0 0, 1.302, 12
0 2 0, 1.299, 15
7 1 -2, 1.293, 24
9 1 1, 1.112, 15
4 2 1, 1.110, 8
6 2 -1, 1.106, 25

Crystal structure
```
data_BC4
_cell_length_a 13.4809
_cell_length_b 2.5982
_cell_length_c 3.6677
_cell_angle_alpha 90.00
_cell_angle_beta 105.09
_cell_angle_gamma 90.00
_symmetry_space_group_name_H-M 'C 1 2/m 1'
_symmetry_Int_Tables_number 12
_symmetry_space_group_name_Hall '-C 2y'
loop_
_atom_site_label
_atom_site_type_symbol
_atom_site_fract_x
_atom_site_fract_y
_atom_site_fract_z
_atom_site_occupancy
B1 B 0.0681 0.0000 0.4039 1
C1 C 0.0474 0.5000 0.1677 1
C2 C 0.1531 0.5000 0.0278 1
C3 C 0.1535 0.0000 0.7880 1
C4 C 0.2486 0.5000 0.3758 1
```